(1)
The following is a calculated powder X-ray diffraction pattern of PaB2S4. It was derived from the PBE geometry in Alexandria, using Cu Kα X-rays.
Lines closer than 0.1° are merged.

```
data_PaB2S4
_chemical_formula_sum 'Pa2 B4 S8'
_space_group_name_H-M_alt 'I 4/m'
_space_group_IT_number 87
_space_group_name_Hall '-I 4'
_cell_length_a 6.984
_cell_length_b 6.984
_cell_length_c 4.948
_cell_angle_alpha 90.00
_cell_angle_beta 90.00
_cell_angle_gamma 90.00
loop_
_atom_site_label
_atom_site_type_symbol
_atom_site_fract_x
_atom_site_fract_y
_atom_site_fract_z
Pa1 Pa 0.000 0.000 0.000
B1 B 0.000 0.500 0.250
S1 S 0.121 0.677 0.500
```

The 8 most intense peaks (2θ = 10–80°), sorted by position:
- 18.0°, 4.939 Å, intensity 38, hkl 1 1 0
- 22.0°, 4.038 Å, intensity 82, hkl 1 0 1
- 25.5°, 3.492 Å, intensity 29, hkl 2 0 0
- 33.9°, 2.641 Å, intensity 100, hkl 1 2 1
- 36.3°, 2.472 Å, intensity 32, hkl 0 0 2
- 40.8°, 2.210 Å, intensity 48, hkl 3 1 0
- 55.8°, 1.648 Å, intensity 32, hkl 3 1 2
- 70.0°, 1.345 Å, intensity 25, hkl 4 3 1

(2)
The following is a calculated powder X-ray diffraction pattern of PaBS4. It was derived from the PBE geometry in Alexandria, using Cu Kα X-rays.
Lines closer than 0.1° are merged.

```
data_PaBS4
_chemical_formula_sum 'Pa4 B4 S16'
_space_group_name_H-M_alt 'C 1 2/c 1'
_space_group_IT_number 15
_space_group_name_Hall '-C 2yc'
_cell_length_a 7.116
_cell_length_b 11.811
_cell_length_c 6.893
_cell_angle_alpha 90.00
_cell_angle_beta 121.07
_cell_angle_gamma 90.00
loop_
_atom_site_label
_atom_site_type_symbol
_atom_site_fract_x
_atom_site_fract_y
_atom_site_fract_z
Pa1 Pa 0.000 0.125 0.250
B1 B 0.000 0.375 0.750
S1 S 0.087 0.287 0.574
S2 S 0.238 0.037 0.074
```

The 8 most intense peaks (2θ = 10–80°), sorted by position:
- 16.4°, 5.416 Å, intensity 100, hkl 1 1 0
- 21.3°, 4.175 Å, intensity 95, hkl 0 2 1
- 27.0°, 3.307 Å, intensity 37, hkl 1 1 -2
- 29.3°, 3.047 Å, intensity 49, hkl 2 0 -2
- 34.6°, 2.592 Å, intensity 45, hkl 1 3 1
- 39.5°, 2.282 Å, intensity 28, hkl 3 1 -1
- 41.0°, 2.202 Å, intensity 42, hkl 1 5 0
- 42.6°, 2.120 Å, intensity 59, hkl 2 4 -2

(3)
The following is a calculated powder X-ray diffraction pattern of Pa4BS3. It was derived from the PBE geometry in Alexandria, using Cu Kα X-rays.
Lines closer than 0.1° are merged.

```
data_Pa4BS3
_chemical_formula_sum 'Pa8 B2 S6'
_space_group_name_H-M_alt 'P 1 2/c 1'
_space_group_IT_number 13
_space_group_name_Hall '-P 2yc'
_cell_length_a 6.742
_cell_length_b 7.725
_cell_length_c 6.666
_cell_angle_alpha 90.00
_cell_angle_beta 109.30
_cell_angle_gamma 90.00
loop_
_atom_site_label
_atom_site_type_symbol
_atom_site_fract_x
_atom_site_fract_y
_atom_site_fract_z
Pa1 Pa 0.231 0.115 0.001
Pa2 Pa 0.241 0.366 0.490
B1 B 0.000 0.126 0.250
S1 S 0.000 0.374 0.750
S2 S 0.500 0.126 0.750
S3 S 0.500 0.375 0.250
```

The 8 most intense peaks (2θ = 10–80°), sorted by position:
- 28.0°, 3.181 Å, intensity 30, hkl 2 0 0
- 28.3°, 3.152 Å, intensity 89, hkl 0 0 2
- 32.7°, 2.736 Å, intensity 100, hkl 1 2 1
- 46.8°, 1.941 Å, intensity 36, hkl 2 0 2
- 47.2°, 1.926 Å, intensity 24, hkl 1 2 -3
- 55.7°, 1.650 Å, intensity 18, hkl 3 2 -3
- 55.8°, 1.646 Å, intensity 19, hkl 1 2 3
- 58.5°, 1.577 Å, intensity 12, hkl 2 4 -2